For Ba2LiSbSe4, a crystal structure in Alexandria, relaxed with GGA-PBE gives the computed XRD peak list in this record (Cu Kα, 1.54184 Å).
Lines closer than 0.1° are merged.

Most intense lines, 10° ≤ 2θ ≤ 90°, most intense first:
| d (Å) | I (rel.) |
| --- | --- |
| 3.129 | 1000 |
| 2.198 | 702 |
| 3.090 | 477 |
| 2.255 | 189 |
| 1.822 | 186 |
| 1.777 | 177 |
| 2.172 | 175 |
| 1.395 | 156 |

Crystal structure
a b c (Å): 8.797 8.797 8.797
angles (deg): 120.83 118.32 90.76
Fractional positions:
Ba  0.000  0.000  0.000
Ba  0.500  0.000  0.000
Ba  0.500  0.000  0.500
Ba  0.500  0.500  0.500
Li  0.000  0.500  0.500
Li  0.500  0.500  0.000
Sb  0.000  0.000  0.500
Sb  0.000  0.500  0.000
Se  0.211  0.736  0.475
Se  0.237  0.257  0.520
Se  0.237  0.718  0.980
Se  0.239  0.264  0.975
Se  0.761  0.736  0.025
Se  0.763  0.282  0.020
Se  0.763  0.743  0.480
Se  0.789  0.264  0.525


For Ba2LiSe, a crystal structure in Alexandria, relaxed with GGA-PBE gives the computed XRD peak list in this record (Cu Kα, 1.54184 Å).
Lines closer than 0.1° are merged.

Most intense lines, 10° ≤ 2θ ≤ 90°, most intense first:
| d (Å) | I (rel.) |
| --- | --- |
| 2.955 | 1000 |
| 4.180 | 312 |
| 1.707 | 252 |
| 8.339 | 236 |
| 2.092 | 131 |
| 2.315 | 119 |
| 1.118 | 116 |
| 1.323 | 114 |

Crystal structure
a b c (Å): 4.185 4.185 8.339
angles (deg): 90.00 90.00 90.00
Fractional positions:
Ba  0.000  0.000  0.223
Ba  0.000  0.000  0.777
Li  0.500  0.500  0.500
Se  0.500  0.500  0.000


For BaLi3Se3, a crystal structure in Alexandria, relaxed with GGA-PBE gives the computed XRD peak list in this record (Cu Kα, 1.54184 Å).
Lines closer than 0.1° are merged.

Most intense lines, 10° ≤ 2θ ≤ 90°, most intense first:
| d (Å) | I (rel.) |
| --- | --- |
| 2.829 | 1000 |
| 3.099 | 610 |
| 1.852 | 569 |
| 3.464 | 428 |
| 1.732 | 182 |
| 1.124 | 174 |
| 1.265 | 163 |
| 1.549 | 159 |

Crystal structure
a b c (Å): 6.929 6.929 6.929
angles (deg): 90.00 90.00 90.00
Fractional positions:
Ba  0.000  0.000  0.000
Ba  0.500  0.500  0.500
Li  0.000  0.250  0.500
Li  0.000  0.750  0.500
Li  0.250  0.500  0.000
Li  0.500  0.000  0.250
Li  0.500  0.000  0.750
Li  0.750  0.500  0.000
Se  0.000  0.500  0.250
Se  0.000  0.500  0.750
Se  0.250  0.000  0.500
Se  0.500  0.250  0.000
Se  0.500  0.750  0.000
Se  0.750  0.000  0.500


For BaLiU2Se4, a crystal structure in Alexandria, relaxed with GGA-PBE gives the computed XRD peak list in this record (Cu Kα, 1.54184 Å).
Lines closer than 0.1° are merged.

Most intense lines, 10° ≤ 2θ ≤ 90°, most intense first:
| d (Å) | I (rel.) |
| --- | --- |
| 2.872 | 1000 |
| 3.951 | 999 |
| 3.060 | 836 |
| 2.353 | 722 |
| 7.211 | 515 |
| 3.131 | 435 |
| 2.128 | 423 |
| 2.093 | 404 |

Crystal structure
a b c (Å): 7.256 7.256 14.423
angles (deg): 90.00 90.00 145.89
Fractional positions:
Ba  0.115  0.885  0.750
Ba  0.885  0.115  0.250
Li  0.155  0.845  0.250
Li  0.845  0.155  0.750
U  0.370  0.630  0.556
U  0.370  0.630  0.944
U  0.630  0.370  0.056
U  0.630  0.370  0.444
Se  0.000  0.000  0.000
Se  0.000  0.000  0.500
Se  0.265  0.735  0.115
Se  0.265  0.735  0.385
Se  0.436  0.564  0.750
Se  0.564  0.436  0.250
Se  0.735  0.265  0.615
Se  0.735  0.265  0.885


For Ba2LiZnSi2, a crystal structure in Alexandria, relaxed with GGA-PBE gives the computed XRD peak list in this record (Cu Kα, 1.54184 Å).
Lines closer than 0.1° are merged.

Most intense lines, 10° ≤ 2θ ≤ 90°, most intense first:
| d (Å) | I (rel.) |
| --- | --- |
| 3.937 | 1000 |
| 2.917 | 760 |
| 2.310 | 545 |
| 2.471 | 362 |
| 2.461 | 361 |
| 1.742 | 294 |
| 3.278 | 272 |
| 3.255 | 272 |

Crystal structure
a b c (Å): 8.828 8.828 8.828
angles (deg): 136.40 63.10 136.73
Fractional positions:
Ba  0.158  0.244  0.402
Ba  0.342  0.744  0.086
Ba  0.658  0.256  0.914
Ba  0.842  0.756  0.598
Li  0.250  0.250  0.000
Li  0.750  0.750  0.000
Zn  0.250  0.750  0.500
Zn  0.750  0.250  0.500
Si  0.092  0.732  0.824
Si  0.408  0.232  0.640
Si  0.592  0.768  0.360
Si  0.908  0.268  0.176


For BaLi4Sm, a crystal structure in Alexandria, relaxed with GGA-PBE gives the computed XRD peak list in this record (Cu Kα, 1.54184 Å).
Lines closer than 0.1° are merged.

Most intense lines, 10° ≤ 2θ ≤ 90°, most intense first:
| d (Å) | I (rel.) |
| --- | --- |
| 3.127 | 1000 |
| 5.107 | 988 |
| 2.667 | 722 |
| 1.806 | 408 |
| 2.029 | 265 |
| 1.702 | 250 |
| 1.182 | 207 |
| 1.495 | 199 |

Crystal structure
a b c (Å): 6.255 6.255 6.255
angles (deg): 60.00 60.00 60.00
Fractional positions:
Ba  0.000  0.000  0.000
Li  0.377  0.377  0.377
Li  0.377  0.377  0.869
Li  0.377  0.869  0.377
Li  0.869  0.377  0.377
Sm  0.750  0.750  0.750


For BaLi17Sm, a crystal structure in Alexandria, relaxed with GGA-PBE gives the computed XRD peak list in this record (Cu Kα, 1.54184 Å).
Lines closer than 0.1° are merged.

Most intense lines, 10° ≤ 2θ ≤ 90°, most intense first:
| d (Å) | I (rel.) |
| --- | --- |
| 5.086 | 1000 |
| 3.555 | 911 |
| 7.585 | 776 |
| 2.528 | 482 |
| 1.794 | 402 |
| 2.937 | 346 |
| 2.484 | 313 |
| 4.971 | 302 |

Crystal structure
a b c (Å): 7.694 7.694 7.694
angles (deg): 82.76 82.76 82.76
Fractional positions:
Ba  0.000  0.000  0.000
Li  0.002  0.002  0.491
Li  0.002  0.491  0.002
Li  0.146  0.645  0.645
Li  0.308  0.308  0.776
Li  0.308  0.776  0.308
Li  0.357  0.636  0.944
Li  0.357  0.944  0.636
Li  0.491  0.002  0.002
Li  0.547  0.547  0.547
Li  0.636  0.357  0.944
Li  0.636  0.944  0.357
Li  0.645  0.146  0.645
Li  0.645  0.645  0.146
Li  0.738  0.738  0.738
Li  0.776  0.308  0.308
Li  0.944  0.357  0.636
Li  0.944  0.636  0.357
Sm  0.306  0.306  0.306


For BaLi2Sm, a crystal structure in Alexandria, relaxed with GGA-PBE gives the computed XRD peak list in this record (Cu Kα, 1.54184 Å).
Lines closer than 0.1° are merged.

Most intense lines, 10° ≤ 2θ ≤ 90°, most intense first:
| d (Å) | I (rel.) |
| --- | --- |
| 4.133 | 1000 |
| 2.831 | 884 |
| 2.923 | 482 |
| 2.335 | 445 |
| 3.885 | 430 |
| 1.669 | 366 |
| 1.848 | 219 |
| 1.824 | 210 |

Crystal structure
a b c (Å): 5.845 5.845 3.885
angles (deg): 90.00 90.00 90.00
Fractional positions:
Ba  0.000  0.000  0.000
Li  0.000  0.500  0.500
Li  0.500  0.000  0.500
Sm  0.500  0.500  0.000